Structure and theoretical X-ray powder pattern of Sm4HoTm6 (DFT lattice parameters and positions (PBE); λ = 1.5418 Å (Cu Kα)).

Cell: 9.6364 9.6364 9.6364 Å, 140.10 140.10 57.70°
Fractional coordinates of all 11 atoms:
Sm 0.0137 0.6366 0.0000
Sm 0.3634 0.3634 0.3771
Sm 0.6366 0.0137 0.0000
Sm 0.9863 0.9863 0.6229
Ho 0.0000 0.0000 0.0000
Tm 0.0000 0.5000 0.5000
Tm 0.1951 0.1951 0.6429
Tm 0.4478 0.8049 0.0000
Tm 0.5000 0.0000 0.5000
Tm 0.5522 0.5522 0.3571
Tm 0.8049 0.4478 0.0000

Peak list (8 most intense, 10 to 80 degrees two-theta, low angle first)
2θ = 28.56°, intensity 39
2θ = 29.15°, intensity 65
2θ = 30.87°, intensity 100
2θ = 34.58°, intensity 80
2θ = 37.36°, intensity 29
2θ = 38.73°, intensity 30
2θ = 40.69°, intensity 36
2θ = 58.11°, intensity 48